[1]
Simulated powder diffractogram of TeSe2 for CuKα, from DFT lattice parameters and positions (PBE).
Kinematic intensities with the Lorentz-polarization factor, no thermal factor.

Most intense lines, 2θ = 15–90°, in order of rising 2θ:
d = 3.887 Å, intensity 28
d = 3.852 Å, intensity 25
d = 3.145 Å, intensity 100
d = 3.107 Å, intensity 63
d = 2.237 Å, intensity 23
d = 2.231 Å, intensity 19
d = 2.184 Å, intensity 34
d = 2.080 Å, intensity 15
d = 2.048 Å, intensity 17
d = 1.819 Å, intensity 12

Structure:
```
TeSe2
1.0
3.888 -2.217 0.000
3.888 2.217 0.000
-0.137 0.000 5.351
Te Se
1 2
Cartesian
0.000 0.000 0.000 Te
2.952 -0.576 1.809 Se
4.687 -0.576 3.542 Se
```

***

[2]
Simulated powder diffractogram of Zn3Cu2Si4O14 for CuKα, from DFT lattice parameters and positions (PBE).
Kinematic intensities with the Lorentz-polarization factor, no thermal factor.

Most intense lines, 2θ = 15–90°, in order of rising 2θ:
d = 3.161 Å, intensity 100
d = 3.143 Å, intensity 71
d = 3.102 Å, intensity 43
d = 2.869 Å, intensity 93
d = 2.804 Å, intensity 58
d = 2.478 Å, intensity 29
d = 2.397 Å, intensity 33
d = 2.318 Å, intensity 47
d = 2.231 Å, intensity 30
d = 2.028 Å, intensity 39

Structure:
```
Zn3Cu2Si4O14
1.0
8.725 -3.839 0.000
8.725 3.839 0.000
-5.647 0.000 8.224
Zn Cu Si O
6 4 8 28
Cartesian
4.489 2.976 6.168 Zn
2.917 0.669 4.686 Zn
5.740 -0.669 0.574 Zn
6.062 0.669 7.650 Zn
8.886 -0.669 3.538 Zn
7.313 -2.976 2.056 Zn
7.313 1.732 2.056 Cu
8.725 0.000 0.000 Cu
5.901 0.000 4.112 Cu
4.489 -1.732 6.168 Cu
4.575 2.898 3.035 Si
0.844 1.880 6.793 Si
10.051 2.898 1.077 Si
8.134 1.880 5.544 Si
3.668 -1.880 2.681 Si
1.751 -2.898 7.148 Si
10.958 -1.880 1.432 Si
7.227 -2.898 5.189 Si
3.829 2.182 1.750 O
6.129 3.139 2.563 O
1.700 1.902 5.442 O
2.080 0.480 0.734 O
8.497 3.139 1.549 O
4.476 2.019 4.429 O
-0.744 -0.480 4.846 O
1.240 0.687 7.887 O
4.503 2.019 7.907 O
6.063 0.425 2.334 O
10.796 2.182 2.362 O
7.278 1.902 6.894 O
4.064 -0.687 3.774 O
3.239 -0.425 6.446 O
8.563 0.425 1.778 O
7.738 0.687 4.450 O
4.524 -1.902 1.330 O
1.006 -2.182 5.862 O
5.739 -0.425 5.890 O
7.299 -2.019 0.317 O
10.562 -0.687 0.338 O
12.546 0.480 3.378 O
7.327 -2.019 3.795 O
3.305 -3.139 6.675 O
9.722 -0.480 7.490 O
10.102 -1.902 2.782 O
5.673 -3.139 5.661 O
7.973 -2.182 6.474 O
```